(1)
The following is a simulated X-ray powder pattern of La5MnPb3. It was derived from a crystal structure in the Materials Project, relaxed with PBE, using a wavelength of 1.5418 Å.
No peak broadening, texture or thermal motion is included.

Main lines, in order of rising 2θ (15 to 90 degrees two-theta):
d = 3.536 Å, intensity 23, hkl 0 0 2; d = 2.918 Å, intensity 100, hkl 2 1 1; d = 2.866 Å, intensity 93, hkl 1 1 2; d = 2.825 Å, intensity 58, hkl 3 0 0; d = 2.231 Å, intensity 29, hkl 3 1 1; d = 2.012 Å, intensity 19, hkl 2 2 2; d = 1.899 Å, intensity 29, hkl 2 1 3; d = 1.529 Å, intensity 18, hkl 5 0 2; d = 1.499 Å, intensity 21, hkl 3 0 4; d = 1.146 Å, intensity 16, hkl 1 1 6

Crystal structure
a b c (Å): 9.7873 9.7873 7.0719
angles (deg): 90.00 90.00 120.00
Space group P6_3/mcm (No. 193)
Unique sites:
La  0.0000  0.2508  0.2500 [6 per cell]
La  0.3333  0.6667  0.0000 [4 per cell]
Mn  0.0000  0.0000  0.0000 [2 per cell]
Pb  0.0000  0.3942  0.7500 [6 per cell]


(2)
The following is a simulated X-ray powder pattern of LaPrMn4Si4. It was derived from a crystal structure in the Materials Project, relaxed with PBE, using a wavelength of 1.5418 Å.
No peak broadening, texture or thermal motion is included.

Main lines, in order of rising 2θ (15 to 90 degrees two-theta):
d = 3.739 Å, intensity 45, hkl 1 0 1; d = 2.646 Å, intensity 80, hkl 0 0 4; d = 2.493 Å, intensity 100, hkl 1 1 2; d = 1.998 Å, intensity 39, hkl 2 0 0; d = 1.871 Å, intensity 22, hkl 1 0 5; d = 1.595 Å, intensity 41, hkl 2 0 4; d = 1.497 Å, intensity 20, hkl 1 1 6; d = 1.413 Å, intensity 15, hkl 2 2 0; d = 1.366 Å, intensity 15, hkl 2 1 5; d = 1.229 Å, intensity 19, hkl 3 1 2

Crystal structure
a b c (Å): 3.997 3.997 10.588
angles (deg): 90.00 90.00 90.00
Space group P4/mmm (No. 123)
Unique sites:
La  0.000  0.000  0.000 [1 per cell]
Pr  0.500  0.500  0.500 [1 per cell]
Mn  0.000  0.500  0.251 [4 per cell]
Si  0.000  0.000  0.374 [2 per cell]
Si  0.500  0.500  0.129 [2 per cell]


(3)
The following is a simulated X-ray powder pattern of La3MnS5. It was derived from a crystal structure in the Materials Project, relaxed with PBE, using a wavelength of 1.5418 Å.
No peak broadening, texture or thermal motion is included.

Main lines, in order of rising 2θ (15 to 90 degrees two-theta):
d = 3.532 Å, intensity 40, hkl 2 0 0; d = 3.517 Å, intensity 100, hkl 1 1 1; d = 3.471 Å, intensity 46, hkl 0 0 2; d = 2.643 Å, intensity 99, hkl 1 1 2; d = 2.492 Å, intensity 93, hkl 2 1 1; d = 2.355 Å, intensity 45, hkl 3 0 0; d = 2.013 Å, intensity 22, hkl 1 1 3; d = 1.886 Å, intensity 51, hkl 3 1 1; d = 1.749 Å, intensity 31, hkl 2 1 3; d = 1.495 Å, intensity 24, hkl 3 1 3

Crystal structure
a b c (Å): 8.1574 8.1574 6.9422
angles (deg): 90.00 90.00 120.00
Space group P6_3/mcm (No. 193)
Unique sites:
La  0.0000  0.3983  0.2500 [6 per cell]
Mn  0.0000  0.0000  0.0000 [2 per cell]
S  0.0000  0.2404  0.7500 [6 per cell]
S  0.3333  0.6667  0.0000 [4 per cell]


(4)
The following is a simulated X-ray powder pattern of La4Mn3Sb8. It was derived from a crystal structure in the Materials Project, relaxed with PBE, using a wavelength of 1.5418 Å.
No peak broadening, texture or thermal motion is included.

Main lines, in order of rising 2θ (15 to 90 degrees two-theta):
d = 3.412 Å, intensity 30, hkl 1 1 4; d = 3.007 Å, intensity 24, hkl 2 0 2; d = 2.778 Å, intensity 31, hkl 1 1 6; d = 2.704 Å, intensity 100, hkl 2 0 4; d = 2.216 Å, intensity 45, hkl 2 2 0; d = 1.926 Å, intensity 21, hkl 1 1 10; d = 1.732 Å, intensity 15, hkl 3 1 6; d = 1.567 Å, intensity 15, hkl 4 0 0; d = 1.454 Å, intensity 17, hkl 3 1 10; d = 1.356 Å, intensity 23, hkl 4 2 4

Crystal structure
a b c (Å): 6.268 6.268 21.389
angles (deg): 90.00 90.00 90.00
Space group I-42m (No. 121)
Unique sites:
La  0.249  0.249  0.130 [8 per cell]
Mn  0.000  0.000  0.000 [2 per cell]
Mn  0.000  0.500  0.000 [4 per cell]
Sb  0.000  0.000  0.250 [4 per cell]
Sb  0.000  0.500  0.250 [4 per cell]
Sb  0.248  0.248  0.426 [8 per cell]


(5)
The following is a simulated X-ray powder pattern of La4Mn3Sb8. It was derived from a crystal structure in the Materials Project, relaxed with PBE, using a wavelength of 1.5418 Å.
No peak broadening, texture or thermal motion is included.

Main lines, in order of rising 2θ (15 to 90 degrees two-theta):
d = 3.397 Å, intensity 26, hkl 1 0 4; d = 2.999 Å, intensity 26, hkl 1 1 2; d = 2.762 Å, intensity 29, hkl 1 0 6; d = 2.694 Å, intensity 100, hkl 1 1 4; d = 2.211 Å, intensity 47, hkl 2 0 0; d = 1.913 Å, intensity 17, hkl 1 0 10; d = 1.726 Å, intensity 14, hkl 2 1 6; d = 1.563 Å, intensity 15, hkl 2 2 0; d = 1.447 Å, intensity 17, hkl 2 1 10; d = 1.352 Å, intensity 23, hkl 3 1 4

Crystal structure
a b c (Å): 4.422 4.422 21.222
angles (deg): 90.00 90.00 90.00
Space group P-4m2 (No. 115)
Unique sites:
La  0.000  0.500  0.119 [2 per cell]
La  0.000  0.500  0.636 [2 per cell]
Mn  0.000  0.000  0.000 [1 per cell]
Mn  0.000  0.000  0.500 [1 per cell]
Mn  0.500  0.500  0.500 [1 per cell]
Sb  0.000  0.000  0.240 [2 per cell]
Sb  0.000  0.500  0.419 [2 per cell]
Sb  0.000  0.500  0.932 [2 per cell]
Sb  0.500  0.500  0.241 [2 per cell]


(6)
The following is a simulated X-ray powder pattern of LaMn2Si2. It was derived from a crystal structure in the Materials Project, relaxed with PBE, using a wavelength of 1.5418 Å.
No peak broadening, texture or thermal motion is included.

Main lines, in order of rising 2θ (15 to 90 degrees two-theta):
d = 3.757 Å, intensity 44, hkl 1 0 1; d = 2.652 Å, intensity 81, hkl 0 0 4; d = 2.504 Å, intensity 100, hkl 1 1 2; d = 2.009 Å, intensity 39, hkl 2 0 0; d = 1.875 Å, intensity 21, hkl 1 0 5; d = 1.601 Å, intensity 41, hkl 2 0 4; d = 1.500 Å, intensity 21, hkl 1 1 6; d = 1.420 Å, intensity 12, hkl 2 2 0; d = 1.371 Å, intensity 15, hkl 2 1 5; d = 1.235 Å, intensity 20, hkl 3 1 2

Crystal structure
a b c (Å): 4.018 4.018 10.598
angles (deg): 90.00 90.00 90.00
Space group I4/mmm (No. 139)
Unique sites:
La  0.000  0.000  0.000 [2 per cell]
Mn  0.000  0.500  0.250 [4 per cell]
Si  0.000  0.000  0.371 [4 per cell]


(7)
The following is a simulated X-ray powder pattern of LaYMn4Si4. It was derived from a crystal structure in the Materials Project, relaxed with PBE, using a wavelength of 1.5418 Å.
No peak broadening, texture or thermal motion is included.

Main lines, in order of rising 2θ (15 to 90 degrees two-theta):
d = 3.702 Å, intensity 30, hkl 1 0 1; d = 2.625 Å, intensity 72, hkl 0 0 4; d = 2.469 Å, intensity 100, hkl 1 1 2; d = 1.978 Å, intensity 40, hkl 2 0 0; d = 1.857 Å, intensity 19, hkl 1 0 5; d = 1.580 Å, intensity 36, hkl 2 0 4; d = 1.485 Å, intensity 18, hkl 1 1 6; d = 1.399 Å, intensity 12, hkl 2 2 0; d = 1.354 Å, intensity 14, hkl 2 1 5; d = 1.217 Å, intensity 19, hkl 3 1 2

Crystal structure
a b c (Å): 3.956 3.956 10.517
angles (deg): 90.00 90.00 90.00
Space group P4/mmm (No. 123)
Unique sites:
La  0.000  0.000  0.000 [1 per cell]
Y  0.500  0.500  0.500 [1 per cell]
Mn  0.000  0.500  0.256 [4 per cell]
Si  0.000  0.000  0.381 [2 per cell]
Si  0.500  0.500  0.131 [2 per cell]


(8)
The following is a simulated X-ray powder pattern of LaMo12PbSe16. It was derived from a crystal structure in the Materials Project, relaxed with PBE, using a wavelength of 1.5418 Å.
No peak broadening, texture or thermal motion is included.

Main lines, in order of rising 2θ (15 to 90 degrees two-theta):
d = 4.899 Å, intensity 35, hkl 1 0 4; d = 4.816 Å, intensity 34, hkl 1 1 0; d = 3.093 Å, intensity 40, hkl 1 1 6; d = 3.051 Å, intensity 41, hkl 3 -2 2; d = 2.780 Å, intensity 50, hkl 3 0 0; d = 2.325 Å, intensity 39, hkl 1 0 10; d = 2.272 Å, intensity 64, hkl 4 -1 2; d = 2.183 Å, intensity 50, hkl 1 2 8; d = 2.068 Å, intensity 100, hkl 4 -2 6; d = 1.617 Å, intensity 38, hkl 2 3 8

Crystal structure
a b c (Å): 9.6314 9.6314 24.2104
angles (deg): 90.00 90.00 120.00
Space group R-3 (No. 148, hexagonal axes)
Unique sites:
La  0.0000  0.0000  0.0000 [3 per cell]
Mo  0.0147  0.8460  0.2962 [18 per cell]
Mo  0.0149  0.8467  0.7963 [18 per cell]
Pb  0.0000  0.0000  0.5000 [3 per cell]
Se  0.0000  0.0000  0.1210 [6 per cell]
Se  0.0000  0.0000  0.3783 [6 per cell]
Se  0.0005  0.6296  0.3751 [18 per cell]
Se  0.0027  0.6309  0.8745 [18 per cell]


(9)
The following is a simulated X-ray powder pattern of LaMo6Se4S4. It was derived from a crystal structure in the Materials Project, relaxed with PBE, using a wavelength of 1.5418 Å.
No peak broadening, texture or thermal motion is included.

Main lines, in order of rising 2θ (15 to 90 degrees two-theta):
d = 4.781 Å, intensity 86, hkl 0 1 -1; d = 4.738 Å, intensity 100, hkl 1 1 0; d = 2.999 Å, intensity 81, hkl 1 -2 0; d = 2.727 Å, intensity 59, hkl 2 1 1; d = 2.256 Å, intensity 71, hkl 1 2 -2; d = 2.246 Å, intensity 85, hkl -1 2 2; d = 2.234 Å, intensity 60, hkl 2 -2 1; d = 2.227 Å, intensity 58, hkl 2 1 2; d = 2.119 Å, intensity 72, hkl 1 3 0; d = 2.031 Å, intensity 67, hkl -3 1 1

Crystal structure
a b c (Å): 6.699 6.705 6.769
angles (deg): 90.24 90.78 90.10
Space group P1 (No. 1)
Unique sites:
La  0.000  0.000  0.000 [1 per cell]
Mo  0.237  0.546  0.579 [1 per cell]
Mo  0.423  0.222  0.443 [1 per cell]
Mo  0.445  0.568  0.237 [1 per cell]
Mo  0.564  0.408  0.765 [1 per cell]
Mo  0.587  0.760  0.557 [1 per cell]
Mo  0.775  0.430  0.422 [1 per cell]
Se  0.245  0.868  0.375 [1 per cell]
Se  0.382  0.745  0.877 [1 per cell]
Se  0.627  0.233  0.123 [1 per cell]
Se  0.886  0.616  0.758 [1 per cell]
S  0.134  0.368  0.264 [1 per cell]
S  0.248  0.234  0.753 [1 per cell]
S  0.743  0.122  0.621 [1 per cell]
S  0.761  0.744  0.248 [1 per cell]


(10)
The following is a simulated X-ray powder pattern of Na3LaN6. It was derived from a crystal structure in the Materials Project, relaxed with PBE, using a wavelength of 1.5418 Å.
No peak broadening, texture or thermal motion is included.

Main lines, in order of rising 2θ (15 to 90 degrees two-theta):
d = 5.794 Å, intensity 100, hkl 1 1 1; d = 5.513 Å, intensity 42, hkl 0 0 4; d = 4.692 Å, intensity 55, hkl 0 2 2; d = 3.554 Å, intensity 25, hkl 1 1 5; d = 3.493 Å, intensity 24, hkl 2 0 2; d = 3.000 Å, intensity 29, hkl 0 2 6; d = 2.637 Å, intensity 19, hkl 2 2 4; d = 2.601 Å, intensity 50, hkl 2 0 6; d = 2.592 Å, intensity 24, hkl 0 4 0; d = 1.836 Å, intensity 38, hkl 0 0 12

Crystal structure
a b c (Å): 7.366 10.369 22.050
angles (deg): 90.00 90.00 90.00
Space group Fddd (No. 70, origin choice 2)
Unique sites:
Na  0.125  0.125  0.125 [8 per cell]
Na  0.125  0.125  0.461 [16 per cell]
La  0.125  0.125  0.625 [8 per cell]
N  0.103  0.355  0.800 [32 per cell]
N  0.125  0.364  0.625 [16 per cell]


(11)
The following is a simulated X-ray powder pattern of La3Nb2N6. It was derived from a crystal structure in the Materials Project, relaxed with PBE, using a wavelength of 1.5418 Å.
No peak broadening, texture or thermal motion is included.

Main lines, in order of rising 2θ (15 to 90 degrees two-theta):
d = 2.903 Å, intensity 62, hkl 1 1 0; d = 2.876 Å, intensity 100, hkl 1 0 5; d = 2.196 Å, intensity 14, hkl 1 1 6; d = 2.053 Å, intensity 32, hkl 2 0 0; d = 1.671 Å, intensity 45, hkl 2 1 5; d = 1.655 Å, intensity 12, hkl 1 1 10; d = 1.451 Å, intensity 10, hkl 2 2 0; d = 1.299 Å, intensity 14, hkl 3 1 0; d = 1.296 Å, intensity 13, hkl 3 0 5; d = 1.096 Å, intensity 12, hkl 3 2 5

Crystal structure
a b c (Å): 4.105 4.105 20.149
angles (deg): 90.00 90.00 90.00
Space group I4/mmm (No. 139)
Unique sites:
La  0.000  0.000  0.000 [2 per cell]
La  0.000  0.000  0.180 [4 per cell]
Nb  0.000  0.000  0.399 [4 per cell]
N  0.000  0.000  0.301 [4 per cell]
N  0.000  0.500  0.084 [8 per cell]


(12)
The following is a simulated X-ray powder pattern of LaNdN2. It was derived from a crystal structure in the Materials Project, relaxed with PBE, using a wavelength of 1.5418 Å.
No peak broadening, texture or thermal motion is included.

Main lines, in order of rising 2θ (15 to 90 degrees two-theta):
d = 3.028 Å, intensity 100, hkl 0 1 2; d = 2.622 Å, intensity 76, hkl 1 0 4; d = 1.854 Å, intensity 53, hkl 1 1 0; d = 1.581 Å, intensity 46, hkl 2 0 2; d = 1.514 Å, intensity 18, hkl 0 2 4; d = 1.311 Å, intensity 8, hkl 2 0 8; d = 1.203 Å, intensity 19, hkl 1 2 2; d = 1.173 Å, intensity 23, hkl 2 1 4

Crystal structure
a b c (Å): 3.7070 3.7070 18.1792
angles (deg): 90.00 90.00 120.00
Space group R-3m (No. 166, hexagonal axes)
Unique sites:
La  0.0000  0.0000  0.0000 [3 per cell]
Nd  0.0000  0.0000  0.5000 [3 per cell]
N  0.0000  0.0000  0.2489 [6 per cell]